Calculated X-ray diffraction stick pattern of Cr2RuRh4 for λ = 1.5418 Å (Cu Kα), from a crystal structure in Alexandria, relaxed with PBE.
Intensities are scaled so that the largest is 100.

Principal peaks in the range 10 to 80 degrees two-theta, low angle first:
two_theta, Rel. int.
26.1, 9
29.5, 16
32.9, 14
41.2, 12
42.4, 100
43.8, 11
45.4, 22
48.9, 18
53.6, 9
68.9, 12

Cell and atoms:
```
data_Cr2RuRh4
_chemical_formula_sum 'Cr4 Ru2 Rh8'
_cell_length_a 6.839
_cell_length_b 7.994
_cell_length_c 3.726
_cell_angle_alpha 90.00
_cell_angle_beta 90.00
_cell_angle_gamma 90.00
_space_group_name_H-M_alt 'C m m m'
_space_group_IT_number 65
_space_group_name_Hall '-C 2 2'
loop_
_atom_site_label
_atom_site_type_symbol
_atom_site_fract_x
_atom_site_fract_y
_atom_site_fract_z
_atom_site_occupancy
Cr1 Cr 0.000 0.224 0.000 1
Ru1 Ru 0.000 0.000 0.500 1
Rh1 Rh 0.206 0.500 0.000 1
Rh2 Rh 0.250 0.250 0.500 1
```